# 1
The following is a calculated powder diffractogram of K10Au2O3. It was derived from a structure optimized by DFT (GGA-PBE), using a wavelength of 1.5418 Å.
No peak broadening, texture or thermal motion is included.

Main lines, in order of falling intensity (2θ from 5° to 70°):
index  2theta  I_rel
6 2 -1  31.28  100
0 2 2  28.81  94
3 1 1  20.49  77
6 0 -3  28.12  48
3 1 -1  16.14  45
6 0 1  27.99  33
2 0 0  7.71  28
8 2 2  48.04  26
0 0 4  36.04  25
6 0 -1  21.51  25

Cell and atoms:
a b c (Å): 24.786 7.916 10.770
angles (deg): 90.00 112.29 90.00
Space group C2/m (No. 12)
Symmetry-distinct sites (fractional):
K  0.000  0.216  0.000
K  0.016  0.500  0.669
K  0.024  0.000  0.679
K  0.111  0.254  0.523
K  0.138  0.000  0.244
K  0.149  0.233  0.974
K  0.234  0.000  0.757
K  0.250  0.250  0.500
Au  0.121  0.500  0.236
Au  0.224  0.500  0.793
O  0.000  0.253  0.500
O  0.075  0.000  0.964
O  0.175  0.000  0.507

# 2
The following is a calculated powder diffractogram of AcThC3N6. It was derived from a structure optimized by DFT (GGA-PBE), using a wavelength of 1.5418 Å.
No peak broadening, texture or thermal motion is included.

Main lines, in order of falling intensity (2θ from 5° to 70°):
index  2theta  I_rel
2 -1 3  30.94  100
1 1 0  25.57  62
1 0 1  15.76  62
0 1 2  18.62  60
0 0 3  17.12  46
1 1 6  43.55  33
0 3 3  48.56  24
0 1 5  32.41  23
3 0 0  45.08  20
3 -2 2  41.26  19

Cell and atoms:
a b c (Å): 6.9668 6.9668 15.5379
angles (deg): 90.00 90.00 120.00
Space group R3 (No. 146, hexagonal axes)
Symmetry-distinct sites (fractional):
Ac  0.0000  0.0000  0.0000
Th  0.0000  0.0000  0.6438
C  0.0655  0.3794  0.4862
N  0.0034  0.4393  0.2248
N  0.0329  0.4338  0.4144